Entry 1:
Simulated XRD peak list of Ag5Se3 for Cu Ka, from a PBE-relaxed structure.

Top 10 peaks for 2θ = 15–90°, in order of rising 2θ:
| Position (°2θ) | I/Imax | hkl |
| --- | --- | --- |
| 29.8 | 105 | 0 0 2 |
| 32.5 | 238 | 1 0 2 |
| 34.2 | 240 | 2 1 0 |
| 37.4 | 1000 | 1 1 2 |
| 38.9 | 179 | 3 0 0 |
| 47.8 | 160 | 2 2 1 |
| 55.1 | 161 | 2 2 2 |
| 58.0 | 156 | 2 1 3 |
| 61.2 | 71 | 4 1 0 |
| 75.4 | 131 | 5 0 2 |

Structure:
a b c (Å): 8.0183 8.0183 5.9938
angles (deg): 90.00 90.00 120.00
Space group P6_3/mcm (No. 193)
Asymmetric unit:
Ag 0.0000 0.2130 0.2500 x6
Ag 0.3333 0.6667 0.0000 x4
Se 0.0000 0.3768 0.7500 x6

=====

Entry 2:
Simulated XRD peak list of Ba3Ac3MgTe8 for Cu Ka, from a PBE-relaxed structure.

Top 10 peaks for 2θ = 15–90°, in order of rising 2θ:
| Position (°2θ) | I/Imax | hkl |
| --- | --- | --- |
| 26.1 | 1000 | 0 2 4 |
| 36.7 | 377 | 2 0 8 |
| 37.8 | 379 | 2 2 0 |
| 44.7 | 65 | 0 0 12 |
| 46.6 | 239 | 4 0 4 |
| 53.8 | 126 | 0 4 8 |
| 60.0 | 158 | 2 2 12 |
| 61.5 | 186 | 2 4 4 |
| 67.6 | 121 | 4 2 8 |
| 86.7 | 63 | 6 2 4 |

Structure:
a b c (Å): 9.5114 9.5114 24.3174
angles (deg): 90.00 90.00 120.00
Space group R-3m (No. 166, hexagonal axes)
Asymmetric unit:
Ba 0.0000 0.5000 0.0000 x9
Ac 0.0000 0.5000 0.5000 x9
Mg 0.0000 0.0000 0.5000 x3
Te 0.0000 0.0000 0.2458 x6
Te 0.0205 0.5102 0.2394 x18

=====

Entry 3:
Simulated XRD peak list of LiTlSbCl6 for Cu Ka, from a PBE-relaxed structure.

Top 10 peaks for 2θ = 15–90°, in order of rising 2θ:
| Position (°2θ) | I/Imax | hkl |
| --- | --- | --- |
| 15.3 | 247 | 1 0 0 |
| 19.8 | 1000 | 1 0 1 |
| 26.6 | 139 | 1 1 0 |
| 29.5 | 339 | 1 1 1 |
| 33.4 | 232 | 2 0 1 |
| 37.0 | 445 | 2 -1 2 |
| 41.3 | 128 | 1 0 3 |
| 43.2 | 264 | 3 -1 1 |
| 47.0 | 158 | 3 0 0 |
| 58.9 | 120 | 3 1 1 |

Structure:
a b c (Å): 6.6985 6.6985 7.0747
angles (deg): 90.00 90.00 120.00
Space group P312 (No. 149)
Asymmetric unit:
Li 0.0000 0.0000 0.0000 x1
Tl 0.6667 0.3333 0.5000 x1
Sb 0.3333 0.6667 0.0000 x1
Cl 0.0371 0.3404 0.2066 x6